Diffraction record for Nb2CS2. The XRD peak list is theoretical, not measured: it uses a DFT-relaxed cell (GGA-PBE, the Materials Project) and λ = 1.5418 Å (Cu Kα).
Peak positions follow from Bragg's law for the DFT cell and can differ from measured ones.

Atomic structure:
abc: 3.290 3.290 9.329
angles: 90.00 90.00 120.00
Sites, in units of the cell vectors:
Nb  0.333  0.667  0.128
Nb  0.667  0.333  0.872
C  0.000  0.000  0.000
S  0.333  0.667  0.695
S  0.667  0.333  0.305

Largest 10 diffraction maxima, low angle first, 15° ≤ 2θ ≤ 90°:
hkl 1 0 0, 2θ 31.4, d = 2.849 Å, I = 26
hkl 1 0 1, 2θ 32.9, d = 2.725 Å, I = 20
hkl 0 1 2, 2θ 37.0, d = 2.431 Å, I = 100
hkl 0 0 4, 2θ 38.6, d = 2.332 Å, I = 10
hkl 0 1 3, 2θ 43.1, d = 2.101 Å, I = 33
hkl 1 0 4, 2θ 50.6, d = 1.805 Å, I = 13
hkl 1 1 0, 2θ 55.9, d = 1.645 Å, I = 24
hkl 1 0 5, 2θ 59.2, d = 1.561 Å, I = 14
hkl 2 0 2, 2θ 68.9, d = 1.362 Å, I = 15
hkl 1 1 4, 2θ 70.0, d = 1.344 Å, I = 10

---

Diffraction record for Nb4SiC3. The XRD peak list is theoretical, not measured: it uses a DFT-relaxed cell (GGA-PBE, the Materials Project) and λ = 1.5418 Å (Cu Kα).
Peak positions follow from Bragg's law for the DFT cell and can differ from measured ones.

Atomic structure:
abc: 3.206 3.206 23.005
angles: 90.00 90.00 120.00
Sites, in units of the cell vectors:
Nb  0.000  0.000  0.165
Nb  0.000  0.000  0.335
Nb  0.000  0.000  0.665
Nb  0.000  0.000  0.835
Nb  0.333  0.667  0.058
Nb  0.333  0.667  0.442
Nb  0.667  0.333  0.558
Nb  0.667  0.333  0.942
Si  0.333  0.667  0.250
Si  0.667  0.333  0.750
C  0.000  0.000  0.000
C  0.000  0.000  0.500
C  0.333  0.667  0.613
C  0.333  0.667  0.887
C  0.667  0.333  0.113
C  0.667  0.333  0.387

Largest 10 diffraction maxima, low angle first, 15° ≤ 2θ ≤ 90°:
hkl 0 0 8, 2θ 31.1, d = 2.876 Å, I = 20
hkl 1 0 2, 2θ 33.2, d = 2.699 Å, I = 45
hkl 1 0 3, 2θ 34.4, d = 2.611 Å, I = 23
hkl 1 0 4, 2θ 35.9, d = 2.500 Å, I = 21
hkl 1 0 5, 2θ 37.8, d = 2.377 Å, I = 59
hkl 0 0 10, 2θ 39.2, d = 2.300 Å, I = 19
hkl 1 0 6, 2θ 40.1, d = 2.249 Å, I = 100
hkl 1 1 0, 2θ 57.5, d = 1.603 Å, I = 43
hkl 1 0 12, 2θ 58.5, d = 1.578 Å, I = 21
hkl 1 1 10, 2θ 71.8, d = 1.315 Å, I = 19

---

Diffraction record for Nb2SnC. The XRD peak list is theoretical, not measured: it uses a DFT-relaxed cell (GGA-PBE, the Materials Project) and λ = 1.5418 Å (Cu Kα).
Peak positions follow from Bragg's law for the DFT cell and can differ from measured ones.

Atomic structure:
abc: 3.281 3.281 13.871
angles: 90.00 90.00 120.00
Sites, in units of the cell vectors:
Nb  0.333  0.667  0.083
Nb  0.333  0.667  0.417
Nb  0.667  0.333  0.583
Nb  0.667  0.333  0.917
Sn  0.333  0.667  0.750
Sn  0.667  0.333  0.250
C  0.000  0.000  0.000
C  0.000  0.000  0.500

Largest 10 diffraction maxima, low angle first, 15° ≤ 2θ ≤ 90°:
hkl 1 0 0, 2θ 31.5, d = 2.842 Å, I = 23
hkl 1 0 3, 2θ 37.1, d = 2.421 Å, I = 100
hkl 0 0 6, 2θ 39.0, d = 2.312 Å, I = 18
hkl 1 0 6, 2θ 50.9, d = 1.793 Å, I = 15
hkl 1 1 0, 2θ 56.1, d = 1.641 Å, I = 21
hkl 2 0 0, 2θ 65.7, d = 1.421 Å, I = 3
hkl 2 0 3, 2θ 69.2, d = 1.358 Å, I = 16
hkl 1 0 9, 2θ 69.4, d = 1.355 Å, I = 16
hkl 1 1 6, 2θ 70.4, d = 1.338 Å, I = 19
hkl 2 0 6, 2θ 79.1, d = 1.211 Å, I = 4

---

Number 2 is which compound? Nb4SiC3